The following is a calculated PXRD pattern of GaCuW2O8. It was derived from a cell relaxed with PBE+U, using Cu Ka.
No peak broadening, texture or thermal motion is included.

Structure:
```
data_GaCuW2O8
_cell_length_a 7.4040
_cell_length_b 7.4040
_cell_length_c 5.0373
_cell_angle_alpha 90.59
_cell_angle_beta 90.59
_cell_angle_gamma 101.77
_symmetry_space_group_name_H-M 'P 1'
_symmetry_Int_Tables_number 1
loop_
_symmetry_equiv_pos_as_xyz
'x,y,z'
loop_
_atom_site_label
_atom_site_fract_x
_atom_site_fract_y
_atom_site_fract_z
_atom_site_occupancy
Ga1 0.1690 0.8310 0.7500 1
Ga2 0.8310 0.1690 0.2500 1
Cu1 0.3329 0.6671 0.2500 1
Cu2 0.6671 0.3329 0.7500 1
W1 0.1629 0.3362 0.7499 1
W2 0.3362 0.1629 0.2499 1
W3 0.6638 0.8371 0.7501 1
W4 0.8371 0.6638 0.2501 1
O1 0.0662 0.7018 0.4206 1
O2 0.0745 0.1939 0.0734 1
O3 0.1833 0.5716 0.8867 1
O4 0.1939 0.0745 0.5734 1
O5 0.2982 0.9338 0.0794 1
O6 0.3047 0.4055 0.4326 1
O7 0.4055 0.3047 0.9326 1
O8 0.4284 0.8167 0.6133 1
O9 0.5716 0.1833 0.3867 1
O10 0.5945 0.6953 0.0674 1
O11 0.6953 0.5945 0.5674 1
O12 0.7018 0.0662 0.9206 1
O13 0.8061 0.9255 0.4266 1
O14 0.8167 0.4284 0.1133 1
O15 0.9255 0.8061 0.9266 1
O16 0.9338 0.2982 0.5794 1
```

The 10 most intense peaks (10° ≤ 2θ ≤ 80°), in order of falling intensity:
| 2θ/deg | I/Imax |
| --- | --- |
| 30.20 | 100 |
| 30.57 | 96 |
| 24.57 | 57 |
| 35.99 | 42 |
| 23.49 | 41 |
| 19.00 | 40 |
| 53.99 | 39 |
| 35.65 | 32 |
| 51.59 | 30 |
| 64.47 | 27 |


The following is a calculated PXRD pattern of GdCuW2O8. It was derived from a cell relaxed with PBE+U, using Cu Ka.
No peak broadening, texture or thermal motion is included.

Structure:
```
data_GdCuW2O8
_cell_length_a 7.2123
_cell_length_b 7.3563
_cell_length_c 7.4647
_cell_angle_alpha 113.70
_cell_angle_beta 116.47
_cell_angle_gamma 90.89
_symmetry_space_group_name_H-M 'P 1'
_symmetry_Int_Tables_number 1
loop_
_symmetry_equiv_pos_as_xyz
'x,y,z'
loop_
_atom_site_label
_atom_site_fract_x
_atom_site_fract_y
_atom_site_fract_z
_atom_site_occupancy
Gd1 0.1851 0.2815 0.4529 1
Gd2 0.8149 0.7185 0.5471 1
Cu1 0.2671 0.6898 0.0569 1
Cu2 0.7329 0.3102 0.9431 1
W1 0.2551 0.2938 0.0188 1
W2 0.3484 0.8867 0.7066 1
W3 0.6516 0.1133 0.2934 1
W4 0.7449 0.7062 0.9812 1
O1 0.0310 0.3042 0.0766 1
O2 0.1343 0.9799 0.7963 1
O3 0.1752 0.3318 0.7694 1
O4 0.1825 0.6254 0.5504 1
O5 0.2881 0.9826 0.5051 1
O6 0.3846 0.1847 0.2616 1
O7 0.4455 0.5485 0.2396 1
O8 0.4827 0.8282 0.0130 1
O9 0.5173 0.1718 0.9870 1
O10 0.5545 0.4515 0.7604 1
O11 0.6154 0.8153 0.7384 1
O12 0.7119 0.0174 0.4949 1
O13 0.8175 0.3746 0.4496 1
O14 0.8248 0.6682 0.2306 1
O15 0.8657 0.0201 0.2037 1
O16 0.9690 0.6958 0.9234 1
```

The 10 most intense peaks (10° ≤ 2θ ≤ 80°), in order of falling intensity:
| 2θ/deg | I/Imax |
| --- | --- |
| 28.47 | 100 |
| 29.48 | 84 |
| 30.01 | 70 |
| 26.68 | 60 |
| 21.84 | 54 |
| 27.26 | 49 |
| 27.59 | 45 |
| 34.59 | 45 |
| 24.39 | 43 |
| 38.49 | 40 |


The following is a calculated PXRD pattern of Li2VC2O6. It was derived from a cell relaxed with PBE+U, using Cu Ka.
No peak broadening, texture or thermal motion is included.

Structure:
```
data_Li2VC2O6
_cell_length_a 9.0129
_cell_length_b 9.0129
_cell_length_c 9.8622
_cell_angle_alpha 123.13
_cell_angle_beta 123.13
_cell_angle_gamma 71.91
_symmetry_space_group_name_H-M 'P 1'
_symmetry_Int_Tables_number 1
loop_
_symmetry_equiv_pos_as_xyz
'x,y,z'
loop_
_atom_site_label
_atom_site_fract_x
_atom_site_fract_y
_atom_site_fract_z
_atom_site_occupancy
Li1 0.0000 0.0000 0.0000 1
Li2 0.2504 0.7496 0.5000 1
Li3 0.3082 0.6918 0.0000 1
Li4 0.4055 0.0867 0.9912 1
Li5 0.4466 0.2004 0.5731 1
Li6 0.7996 0.5534 0.4269 1
Li7 0.9133 0.5945 0.0088 1
Li8 0.9453 0.0547 0.5000 1
V1 0.0903 0.8420 0.7164 1
V2 0.1580 0.9097 0.2836 1
V3 0.5977 0.4023 0.0000 1
V4 0.6544 0.3456 0.5000 1
C1 0.2969 0.1106 0.7170 1
C2 0.3647 0.0439 0.1896 1
C3 0.3870 0.5400 0.6941 1
C4 0.4600 0.6130 0.3059 1
C5 0.7896 0.1362 0.7319 1
C6 0.8638 0.2104 0.2681 1
C7 0.8894 0.7031 0.2830 1
C8 0.9561 0.6353 0.8104 1
O1 0.0617 0.7277 0.9883 1
O2 0.1968 0.0106 0.6943 1
O3 0.2723 0.9383 0.0117 1
O4 0.2770 0.1052 0.5750 1
O5 0.2916 0.6679 0.6574 1
O6 0.3321 0.7084 0.3426 1
O7 0.3465 0.0342 0.3048 1
O8 0.4008 0.5277 0.8261 1
O9 0.4122 0.2084 0.8832 1
O10 0.4617 0.4248 0.5955 1
O11 0.4717 0.1514 0.2380 1
O12 0.4723 0.5992 0.1739 1
O13 0.5752 0.5383 0.4045 1
O14 0.6733 0.2131 0.7886 1
O15 0.7801 0.1489 0.6022 1
O16 0.7869 0.3267 0.2114 1
O17 0.7916 0.5878 0.1168 1
O18 0.8486 0.5283 0.7620 1
O19 0.8511 0.2199 0.3978 1
O20 0.8948 0.7230 0.4250 1
O21 0.9160 0.0411 0.8025 1
O22 0.9589 0.0840 0.1975 1
O23 0.9658 0.6535 0.6952 1
O24 0.9894 0.8032 0.3057 1
```

The 10 most intense peaks (10° ≤ 2θ ≤ 80°), in order of falling intensity:
| 2θ/deg | I/Imax |
| --- | --- |
| 16.75 | 100 |
| 16.47 | 90 |
| 21.53 | 40 |
| 32.29 | 28 |
| 31.99 | 25 |
| 40.24 | 22 |
| 24.68 | 17 |
| 26.44 | 17 |
| 44.34 | 16 |
| 33.30 | 14 |


The following is a calculated PXRD pattern of MgCr3S6O24. It was derived from a cell relaxed with PBE+U, using Cu Ka.
No peak broadening, texture or thermal motion is included.

Structure:
```
data_MgCr3S6O24
_cell_length_a 8.8571
_cell_length_b 8.8571
_cell_length_c 8.8571
_cell_angle_alpha 55.91
_cell_angle_beta 55.91
_cell_angle_gamma 55.91
_symmetry_space_group_name_H-M 'P 1'
_symmetry_Int_Tables_number 1
loop_
_symmetry_equiv_pos_as_xyz
'x,y,z'
loop_
_atom_site_label
_atom_site_fract_x
_atom_site_fract_y
_atom_site_fract_z
_atom_site_occupancy
Mg1 0.0000 0.0000 0.0000 1
Cr1 0.2860 0.2860 0.2860 1
Cr2 0.4914 0.4914 0.4914 1
Cr3 0.7926 0.7926 0.7926 1
S1 0.1021 0.3959 0.6812 1
S2 0.1805 0.8951 0.5974 1
S3 0.3959 0.6812 0.1021 1
S4 0.5974 0.1805 0.8951 1
S5 0.6812 0.1021 0.3959 1
S6 0.8951 0.5974 0.1805 1
O1 0.0225 0.2672 0.8760 1
O2 0.0255 0.3988 0.2633 1
O3 0.1311 0.3467 0.5299 1
O4 0.1570 0.9355 0.7488 1
O5 0.2633 0.0255 0.3988 1
O6 0.2672 0.8760 0.0225 1
O7 0.2989 0.3640 0.6599 1
O8 0.3176 0.6871 0.6189 1
O9 0.3467 0.5299 0.1311 1
O10 0.3640 0.6599 0.2989 1
O11 0.3988 0.2633 0.0255 1
O12 0.5299 0.1311 0.3467 1
O13 0.6034 0.6484 0.9712 1
O14 0.6133 0.9907 0.9217 1
O15 0.6189 0.3176 0.6871 1
O16 0.6484 0.9712 0.6034 1
O17 0.6599 0.2989 0.3640 1
O18 0.6871 0.6189 0.3176 1
O19 0.7488 0.1570 0.9355 1
O20 0.8760 0.0225 0.2672 1
O21 0.9217 0.6133 0.9907 1
O22 0.9355 0.7488 0.1570 1
O23 0.9712 0.6034 0.6484 1
O24 0.9907 0.9217 0.6133 1
```

The 10 most intense peaks (10° ≤ 2θ ≤ 80°), in order of falling intensity:
| 2θ/deg | I/Imax |
| --- | --- |
| 24.55 | 100 |
| 14.65 | 47 |
| 32.29 | 38 |
| 20.13 | 32 |
| 29.55 | 30 |
| 53.06 | 12 |
| 33.20 | 12 |
| 37.52 | 10 |
| 50.32 | 10 |
| 39.49 | 9 |


The following is a calculated PXRD pattern of V2CrO6. It was derived from a cell relaxed with PBE+U, using Cu Ka.
No peak broadening, texture or thermal motion is included.

Structure:
```
data_V2CrO6
_cell_length_a 6.9518
_cell_length_b 6.9518
_cell_length_c 5.5168
_cell_angle_alpha 105.47
_cell_angle_beta 105.47
_cell_angle_gamma 82.16
_symmetry_space_group_name_H-M 'P 1'
_symmetry_Int_Tables_number 1
loop_
_symmetry_equiv_pos_as_xyz
'x,y,z'
loop_
_atom_site_label
_atom_site_fract_x
_atom_site_fract_y
_atom_site_fract_z
_atom_site_occupancy
V1 0.2101 0.2101 0.0302 1
V2 0.4328 0.0067 0.5620 1
V3 0.7899 0.7899 0.9698 1
V4 0.9933 0.5672 0.4380 1
Cr1 0.5199 0.4801 0.5000 1
Cr2 0.6798 0.3202 0.0000 1
O1 0.2106 0.0723 0.7197 1
O2 0.2412 0.4973 0.5366 1
O3 0.2642 0.0522 0.2335 1
O4 0.4125 0.3659 0.1123 1
O5 0.5027 0.7588 0.4634 1
O6 0.5749 0.2275 0.6158 1
O7 0.6341 0.5875 0.8877 1
O8 0.6487 0.0224 0.9487 1
O9 0.7725 0.4251 0.3842 1
O10 0.9277 0.7894 0.2803 1
O11 0.9478 0.7358 0.7665 1
O12 0.9776 0.3513 0.0513 1
```

The 10 most intense peaks (10° ≤ 2θ ≤ 80°), in order of falling intensity:
| 2θ/deg | I/Imax |
| --- | --- |
| 28.09 | 100 |
| 19.03 | 76 |
| 29.02 | 61 |
| 13.25 | 49 |
| 19.43 | 38 |
| 35.35 | 33 |
| 40.40 | 29 |
| 34.77 | 28 |
| 53.05 | 25 |
| 64.27 | 23 |


The following is a calculated PXRD pattern of Sr2FeCuPb2O6. It was derived from a cell relaxed with PBE+U, using Cu Ka.
No peak broadening, texture or thermal motion is included.

Structure:
```
data_Sr2FeCuPb2O6
_cell_length_a 12.4412
_cell_length_b 5.5900
_cell_length_c 5.5565
_cell_angle_alpha 90.00
_cell_angle_beta 90.00
_cell_angle_gamma 90.00
_symmetry_space_group_name_H-M 'P 1'
_symmetry_Int_Tables_number 1
loop_
_symmetry_equiv_pos_as_xyz
'x,y,z'
loop_
_atom_site_label
_atom_site_fract_x
_atom_site_fract_y
_atom_site_fract_z
_atom_site_occupancy
Sr1 0.1414 0.2494 0.0000 1
Sr2 0.1414 0.7506 0.5000 1
Sr3 0.8586 0.2494 0.0000 1
Sr4 0.8586 0.7506 0.5000 1
Fe1 0.0000 0.2511 0.5017 1
Fe2 0.0000 0.7489 0.0017 1
Cu1 0.5000 0.2072 0.9628 1
Cu2 0.5000 0.7928 0.4628 1
Pb1 0.3512 0.2393 0.5084 1
Pb2 0.3512 0.7607 0.0084 1
Pb3 0.6488 0.2393 0.5084 1
Pb4 0.6488 0.7607 0.0084 1
O1 0.0000 0.9997 0.2524 1
O2 0.0000 0.0003 0.7524 1
O3 0.0000 0.4993 0.7526 1
O4 0.0000 0.5007 0.2526 1
O5 0.1749 0.2540 0.5003 1
O6 0.1749 0.7460 0.0003 1
O7 0.3511 0.1887 0.9490 1
O8 0.3511 0.8113 0.4490 1
O9 0.6489 0.1887 0.9490 1
O10 0.6489 0.8113 0.4490 1
O11 0.8251 0.2540 0.5003 1
O12 0.8251 0.7460 0.0003 1
```

The 10 most intense peaks (10° ≤ 2θ ≤ 80°), in order of falling intensity:
| 2θ/deg | I/Imax |
| --- | --- |
| 31.31 | 100 |
| 32.22 | 34 |
| 32.02 | 34 |
| 56.86 | 28 |
| 46.06 | 28 |
| 43.67 | 22 |
| 23.68 | 21 |
| 56.63 | 19 |
| 55.17 | 17 |
| 22.56 | 16 |


The following is a calculated PXRD pattern of Li7Mn5O12. It was derived from a cell relaxed with PBE+U, using Cu Ka.
No peak broadening, texture or thermal motion is included.

Structure:
```
data_Li7Mn5O12
_cell_length_a 5.9700
_cell_length_b 6.0111
_cell_length_c 6.5146
_cell_angle_alpha 103.44
_cell_angle_beta 102.85
_cell_angle_gamma 92.30
_symmetry_space_group_name_H-M 'P 1'
_symmetry_Int_Tables_number 1
loop_
_symmetry_equiv_pos_as_xyz
'x,y,z'
loop_
_atom_site_label
_atom_site_fract_x
_atom_site_fract_y
_atom_site_fract_z
_atom_site_occupancy
Li1 0.0000 0.0000 0.0000 1
Li2 0.0000 0.5000 0.0000 1
Li3 0.3348 0.3385 0.3271 1
Li4 0.3386 0.8215 0.3245 1
Li5 0.5000 0.5000 0.0000 1
Li6 0.6614 0.1785 0.6755 1
Li7 0.6652 0.6615 0.6729 1
Mn1 0.1715 0.1686 0.6695 1
Mn2 0.1764 0.6610 0.6668 1
Mn3 0.5000 0.0000 0.0000 1
Mn4 0.8236 0.3390 0.3332 1
Mn5 0.8285 0.8314 0.3305 1
O1 0.0543 0.0895 0.3462 1
O2 0.0899 0.5748 0.3463 1
O3 0.2579 0.7602 0.9814 1
O4 0.2678 0.2222 0.9838 1
O5 0.3861 0.4150 0.6657 1
O6 0.4299 0.9080 0.6830 1
O7 0.5701 0.0920 0.3170 1
O8 0.6139 0.5850 0.3343 1
O9 0.7322 0.7778 0.0162 1
O10 0.7421 0.2398 0.0186 1
O11 0.9101 0.4252 0.6537 1
O12 0.9457 0.9105 0.6538 1
```

The 10 most intense peaks (10° ≤ 2θ ≤ 80°), in order of falling intensity:
| 2θ/deg | I/Imax |
| --- | --- |
| 18.36 | 100 |
| 41.82 | 33 |
| 43.62 | 30 |
| 44.15 | 29 |
| 62.24 | 16 |
| 34.57 | 15 |
| 35.87 | 15 |
| 36.18 | 12 |
| 61.79 | 9 |
| 62.65 | 8 |